This entry pairs a crystal structure of Ba5CrH2N4 with its computed XRD peak list. Radiation: Cu Kα. Structure: a DFT-relaxed cell (GGA-PBE, Alexandria).

Top 10 peaks for 15 to 90 degrees two-theta, low angle first:
2θ 22.46, intensity 187
2θ 27.48, intensity 603
2θ 27.86, intensity 784
2θ 28.74, intensity 534
2θ 30.08, intensity 1000
2θ 37.87, intensity 228
2θ 40.18, intensity 501
2θ 50.24, intensity 230
2θ 53.12, intensity 281
2θ 55.81, intensity 226

Unit cell a=7.917 b=5.970 c=5.970 alpha=114.14 beta=90.00 gamma=90.00
Atoms (fractional coordinates):
Ba1 0.000 0.000 0.000
Ba2 0.277 0.300 0.663
Ba3 0.277 0.663 0.300
Ba4 0.723 0.300 0.663
Ba5 0.723 0.663 0.300
Cr1 0.500 0.987 0.987
H1 0.000 0.491 0.976
H2 0.000 0.976 0.491
N1 0.317 0.149 0.149
N2 0.500 0.678 0.967
N3 0.500 0.967 0.678
N4 0.683 0.149 0.149

***

This entry pairs a crystal structure of TbBi2IrO8 with its computed XRD peak list. Radiation: Cu Kα. Structure: a DFT-relaxed cell (GGA-PBE, Alexandria).

Top 10 peaks for 15 to 90 degrees two-theta, low angle first:
2θ 24.44, intensity 543
2θ 24.72, intensity 547
2θ 31.60, intensity 1000
2θ 34.88, intensity 156
2θ 35.20, intensity 172
2θ 47.65, intensity 193
2θ 47.83, intensity 179
2θ 47.96, intensity 211
2θ 48.14, intensity 185
2θ 60.95, intensity 111

Unit cell a=5.100 b=6.793 c=5.146 alpha=90.00 beta=90.63 gamma=90.00
Atoms (fractional coordinates):
Tb1 0.000 0.000 0.000
Bi1 0.500 0.254 0.500
Bi2 0.500 0.746 0.500
Ir1 0.000 0.500 0.000
O1 0.159 0.279 0.203
O2 0.159 0.721 0.203
O3 0.291 0.500 0.778
O4 0.330 0.000 0.704
O5 0.670 0.000 0.296
O6 0.709 0.500 0.222
O7 0.841 0.279 0.797
O8 0.841 0.721 0.797

***

This entry pairs a crystal structure of Rb3Cr2H9 with its computed XRD peak list. Radiation: Cu Kα. Structure: a DFT-relaxed cell (GGA-PBE, Alexandria).

Top 10 peaks for 15 to 90 degrees two-theta, low angle first:
2θ 24.88, intensity 1000
2θ 30.50, intensity 789
2θ 39.75, intensity 302
2θ 39.91, intensity 309
2θ 50.92, intensity 250
2θ 51.04, intensity 150
2θ 54.21, intensity 138
2θ 60.64, intensity 168
2θ 69.29, intensity 97
2θ 77.64, intensity 108

Unit cell a=7.734 b=7.734 c=7.734 alpha=82.04 beta=82.04 gamma=82.04
Atoms (fractional coordinates):
Rb1 0.095 0.750 0.405
Rb2 0.250 0.595 0.905
Rb3 0.405 0.095 0.750
Rb4 0.595 0.905 0.250
Rb5 0.750 0.405 0.095
Rb6 0.905 0.250 0.595
Cr1 0.165 0.165 0.165
Cr2 0.335 0.335 0.335
Cr3 0.665 0.665 0.665
Cr4 0.835 0.835 0.835
H1 0.035 0.898 0.752
H2 0.102 0.248 0.965
H3 0.122 0.378 0.250
H4 0.248 0.965 0.102
H5 0.250 0.122 0.378
H6 0.252 0.398 0.535
H7 0.378 0.250 0.122
H8 0.398 0.535 0.252
H9 0.465 0.748 0.602
H10 0.535 0.252 0.398
H11 0.602 0.465 0.748
H12 0.622 0.750 0.878
H13 0.748 0.602 0.465
H14 0.750 0.878 0.622
H15 0.752 0.035 0.898
H16 0.878 0.622 0.750
H17 0.898 0.752 0.035
H18 0.965 0.102 0.248